This entry pairs a crystal structure of LiFeSi3O8 with its calculated powder diffractogram. Radiation: Cu Kα. Structure: a DFT-relaxed cell (PBE+U, the Materials Project).
Intensities are scaled so that the largest is 100.

The 12 most intense peaks (2θ = 15–90°), sorted by position:
2θ (°), d/Å, I_rel
22.79, 3.903, 73
23.67, 3.759, 73
25.34, 3.515, 9
26.51, 3.362, 59
27.65, 3.226, 100
28.94, 3.085, 13
30.33, 2.947, 14
35.23, 2.547, 24
40.71, 2.216, 13
50.10, 1.821, 12
50.33, 1.813, 10
54.32, 1.689, 18

Lattice parameters (Å, degrees): 7.7823 7.7823 12.9590 92.43 92.43 119.56
Fractional coordinates of all 52 atoms:
Li: 0.1264 0.6768 0.8780
Li: 0.3232 0.8736 0.6220
Li: 0.6768 0.1264 0.3780
Li: 0.8736 0.3232 0.1220
Fe: 0.1123 0.4077 0.6670
Fe: 0.4077 0.1123 0.1670
Fe: 0.5923 0.8877 0.8330
Fe: 0.8877 0.5923 0.3330
Si: 0.0650 0.2581 0.8943
Si: 0.1319 0.3799 0.3364
Si: 0.2581 0.0650 0.3943
Si: 0.2792 0.4354 0.1134
Si: 0.3799 0.1319 0.8364
Si: 0.4354 0.2792 0.6134
Si: 0.5646 0.7208 0.3866
Si: 0.6201 0.8681 0.1636
Si: 0.7208 0.5646 0.8866
Si: 0.7419 0.9350 0.6057
Si: 0.8681 0.6201 0.6636
Si: 0.9350 0.7419 0.1057
O: 0.0740 0.6288 0.6347
O: 0.0985 0.8330 0.3817
O: 0.1141 0.3652 0.0139
O: 0.1266 0.3659 0.2081
O: 0.1265 0.4356 0.8158
O: 0.1446 0.1937 0.3797
O: 0.1670 0.9015 0.1183
O: 0.1937 0.1446 0.8797
O: 0.3231 0.5904 0.3805
O: 0.3392 0.4198 0.6159
O: 0.3652 0.1141 0.5139
O: 0.3659 0.1266 0.7081
O: 0.3713 0.9260 0.8653
O: 0.4096 0.6769 0.1195
O: 0.4198 0.3392 0.1159
O: 0.4356 0.1265 0.3158
O: 0.5644 0.8735 0.6842
O: 0.5802 0.6608 0.8841
O: 0.5904 0.3231 0.8805
O: 0.6288 0.0740 0.1347
O: 0.6341 0.8734 0.2919
O: 0.6348 0.8859 0.4861
O: 0.6608 0.5802 0.3841
O: 0.6769 0.4096 0.6195
O: 0.8063 0.8554 0.1203
O: 0.8330 0.0985 0.8817
O: 0.8554 0.8063 0.6203
O: 0.8735 0.5644 0.1842
O: 0.8734 0.6341 0.7919
O: 0.8859 0.6348 0.9861
O: 0.9015 0.1670 0.6183
O: 0.9260 0.3713 0.3653